# 1
For LiTbPd, a DFT-relaxed cell (PBE, Alexandria) gives the simulated X-ray powder pattern in this record (Cu Kα, 1.54184 Å).

Top 10 peaks for 15 to 90 degrees two-theta, by angle:
- 2θ 21.82, I = 17, hkl 1 0 1
- 2θ 32.12, I = 25, hkl 0 0 3
- 2θ 33.41, I = 18, hkl 0 1 2
- 2θ 33.78, I = 100, hkl 1 1 1
- 2θ 37.60, I = 16, hkl 1 0 3
- 2θ 38.61, I = 28, hkl 2 0 0
- 2θ 38.73, I = 77, hkl 1 1 2
- 2θ 40.14, I = 15, hkl 2 0 1
- 2θ 47.69, I = 17, hkl 1 0 4
- 2θ 66.83, I = 25, hkl 2 2 0

Atomic structure:
a = 4.6643 Å, b = 3.4972 Å, c = 8.3590 Å
α = 90.00°, β = 90.00°, γ = 90.00°
Space group Pmma (No. 51)
One atom of each set of equivalent atoms:
Li1 0.2500 0.0000 0.0856 [2 per cell]
Tb1 0.2500 0.5000 0.6785 [2 per cell]
Pd1 0.2500 0.0000 0.3938 [2 per cell]

***

# 2
For Cs4Ce3PbSe8, a DFT-relaxed cell (PBE, Alexandria) gives the simulated X-ray powder pattern in this record (Cu Kα, 1.54184 Å).

Top 10 peaks for 15 to 90 degrees two-theta, by angle:
- 2θ 20.87, I = 11, hkl 0 0 2
- 2θ 23.24, I = 35, hkl 4 0 0
- 2θ 25.52, I = 22, hkl 4 0 1
- 2θ 31.43, I = 100, hkl 2 2 2
- 2θ 40.84, I = 37, hkl 6 2 0
- 2θ 48.96, I = 22, hkl 4 0 4
- 2θ 52.43, I = 25, hkl 8 0 2
- 2θ 60.38, I = 10, hkl 6 2 4
- 2θ 68.50, I = 20, hkl 8 4 2
- 2θ 80.23, I = 11, hkl 10 2 4

Atomic structure:
a = 15.3074 Å, b = 8.8408 Å, c = 8.5148 Å
α = 90.00°, β = 90.04°, γ = 90.00°
Space group C2/m (No. 12)
One atom of each set of equivalent atoms:
Cs1 0.0000 0.0000 0.0000 [2 per cell]
Cs2 0.0000 0.5000 0.0000 [2 per cell]
Cs3 0.2500 0.2500 0.0000 [4 per cell]
Ce1 0.0000 0.0000 0.5000 [2 per cell]
Ce2 0.2500 0.2500 0.5000 [4 per cell]
Pb1 0.0000 0.5000 0.5000 [2 per cell]
Se1 0.0872 0.2387 0.6878 [8 per cell]
Se2 0.1666 0.0000 0.3144 [4 per cell]
Se3 0.1744 0.5000 0.3122 [4 per cell]

***

# 3
For KPa2O5F, a DFT-relaxed cell (PBE, Alexandria) gives the simulated X-ray powder pattern in this record (Cu Kα, 1.54184 Å).

Top 10 peaks for 15 to 90 degrees two-theta, by angle:
- 2θ 19.65, I = 54, hkl 0 0 2
- 2θ 20.65, I = 100, hkl 1 0 0
- 2θ 28.66, I = 92, hkl 1 0 2
- 2θ 29.37, I = 45, hkl 1 1 0
- 2θ 35.59, I = 24, hkl 1 1 2
- 2θ 42.02, I = 28, hkl 2 0 0
- 2θ 45.36, I = 25, hkl 1 0 4
- 2θ 46.79, I = 23, hkl 2 0 2
- 2θ 47.26, I = 24, hkl 2 1 0
- 2θ 51.65, I = 38, hkl 2 1 2

Atomic structure:
a = 4.3006 Å, b = 4.3006 Å, c = 9.0341 Å
α = 90.00°, β = 90.00°, γ = 90.00°
Space group P4/mmm (No. 123)
One atom of each set of equivalent atoms:
K1 0.0000 0.0000 0.0000 [1 per cell]
Pa1 0.5000 0.5000 0.2415 [2 per cell]
O1 0.0000 0.5000 0.2311 [4 per cell]
O2 0.5000 0.5000 0.0000 [1 per cell]
F1 0.5000 0.5000 0.5000 [1 per cell]

***

# 4
For SrZnAg3, a DFT-relaxed cell (PBE, Alexandria) gives the simulated X-ray powder pattern in this record (Cu Kα, 1.54184 Å).

Top 10 peaks for 15 to 90 degrees two-theta, by angle:
- 2θ 21.69, I = 10, hkl 1 0 1
- 2θ 30.48, I = 10, hkl 2 0 0
- 2θ 31.24, I = 24, hkl 0 0 2
- 2θ 34.36, I = 100, hkl 2 0 1
- 2θ 34.87, I = 13, hkl 1 0 2
- 2θ 40.70, I = 20, hkl 2 1 0
- 2θ 44.21, I = 31, hkl 2 0 2
- 2θ 49.25, I = 12, hkl 3 0 1
- 2θ 54.17, I = 18, hkl 2 2 0
- 2θ 57.61, I = 21, hkl 2 0 3

Atomic structure:
a = 6.7722 Å, b = 6.7722 Å, c = 5.7271 Å
α = 90.00°, β = 90.00°, γ = 120.00°
Space group P6_3/mmc (No. 194)
One atom of each set of equivalent atoms:
Sr1 0.3333 0.6667 0.2500 [2 per cell]
Zn1 0.0000 0.0000 0.0000 [2 per cell]
Ag1 0.1928 0.3856 0.7500 [6 per cell]

***

# 5
For Ga3Ge, a DFT-relaxed cell (PBE, Alexandria) gives the simulated X-ray powder pattern in this record (Cu Kα, 1.54184 Å).

Top 10 peaks for 15 to 90 degrees two-theta, by angle:
- 2θ 36.48, I = 58, hkl 0 2 0
- 2θ 38.59, I = 100, hkl 1 1 1
- 2θ 40.97, I = 1, hkl 0 1 2
- 2θ 52.55, I = 20, hkl 0 2 2
- 2θ 58.78, I = 7, hkl 2 0 0
- 2θ 67.06, I = 37, hkl 1 3 1
- 2θ 71.19, I = 16, hkl 2 2 0
- 2θ 77.51, I = 6, hkl 0 4 0
- 2θ 82.74, I = 10, hkl 2 2 2
- 2θ 88.84, I = 8, hkl 0 4 2

Atomic structure:
a = 3.1417 Å, b = 4.9263 Å, c = 4.9253 Å
α = 90.00°, β = 90.00°, γ = 90.00°
Space group Pmm2 (No. 25)
One atom of each set of equivalent atoms:
Ga1 0.0000 0.0000 0.0000 [1 per cell]
Ga2 0.0000 0.5000 0.4769 [1 per cell]
Ga3 0.5000 0.5000 0.9768 [1 per cell]
Ge1 0.5000 0.0000 0.5007 [1 per cell]

***

# 6
For Pu2F13, a DFT-relaxed cell (PBE, Alexandria) gives the simulated X-ray powder pattern in this record (Cu Kα, 1.54184 Å).

Top 10 peaks for 15 to 90 degrees two-theta, by angle:
- 2θ 16.85, I = 100, hkl 0 1 1
- 2θ 17.56, I = 64, hkl 1 0 1
- 2θ 18.50, I = 66, hkl 0 1 -1
- 2θ 20.28, I = 58, hkl 1 1 0
- 2θ 20.90, I = 45, hkl 0 0 2
- 2θ 22.59, I = 39, hkl 1 0 -1
- 2θ 24.35, I = 25, hkl 1 1 2
- 2θ 24.51, I = 23, hkl 1 -1 0
- 2θ 34.99, I = 30, hkl 1 2 -1
- 2θ 41.22, I = 26, hkl 1 1 4

Atomic structure:
a = 5.4762 Å, b = 6.3981 Å, c = 8.9568 Å
α = 80.93°, β = 72.47°, γ = 77.03°
Space group P-1 (No. 2)
One atom of each set of equivalent atoms:
Pu1 0.1907 0.2796 0.2335 [2 per cell]
F1 0.0990 0.9899 0.3122 [2 per cell]
F2 0.1543 0.2478 0.0225 [2 per cell]
F3 0.1860 0.5829 0.7007 [2 per cell]
F4 0.2198 0.3238 0.4445 [2 per cell]
F5 0.2833 0.5696 0.1518 [2 per cell]
F6 0.4326 0.8547 0.8401 [2 per cell]
F7 0.5000 0.0000 0.5000 [1 per cell]

***

# 7
For Ac6Tl2Cd, a DFT-relaxed cell (PBE, Alexandria) gives the simulated X-ray powder pattern in this record (Cu Kα, 1.54184 Å).

Top 10 peaks for 15 to 90 degrees two-theta, by angle:
- 2θ 29.23, I = 100, hkl 1 3 3
- 2θ 30.92, I = 47, hkl 2 0 0
- 2θ 39.19, I = 9, hkl 0 6 0
- 2θ 44.29, I = 18, hkl 2 0 6
- 2θ 50.73, I = 18, hkl 2 6 0
- 2θ 53.95, I = 37, hkl 3 3 3
- 2θ 60.61, I = 11, hkl 2 6 6
- 2θ 73.17, I = 8, hkl 4 0 6
- 2θ 86.30, I = 8, hkl 4 6 6
- 2θ 88.85, I = 10, hkl 5 3 3

Atomic structure:
a = 5.7814 Å, b = 13.7915 Å, c = 17.3612 Å
α = 90.00°, β = 90.00°, γ = 90.00°
Space group Fmmm (No. 69)
One atom of each set of equivalent atoms:
Ac1 0.0000 0.1494 0.0000 [8 per cell]
Ac2 0.0000 0.1502 0.3340 [16 per cell]
Tl1 0.0000 0.0000 0.1658 [8 per cell]
Cd1 0.0000 0.0000 0.5000 [4 per cell]

***

# 8
For Tb12DyEr2, a DFT-relaxed cell (PBE, Alexandria) gives the simulated X-ray powder pattern in this record (Cu Kα, 1.54184 Å).

Top 10 peaks for 15 to 90 degrees two-theta, by angle:
- 2θ 30.40, I = 100, hkl 0 1 7
- 2θ 31.26, I = 50, hkl 1 1 -3
- 2θ 32.10, I = 70, hkl 0 2 0
- 2θ 32.40, I = 38, hkl 1 0 -6
- 2θ 32.58, I = 66, hkl 1 1 -4
- 2θ 33.71, I = 39, hkl 0 1 8
- 2θ 46.25, I = 29, hkl 1 2 -6
- 2θ 51.47, I = 19, hkl 2 0 -1
- 2θ 60.97, I = 19, hkl 2 1 6
- 2θ 61.96, I = 21, hkl 2 2 -1

Atomic structure:
a = 3.5512 Å, b = 5.5767 Å, c = 24.2605 Å
α = 90.00°, β = 94.14°, γ = 90.00°
Space group P2/m (No. 10)
One atom of each set of equivalent atoms:
Tb1 0.0357 0.0000 0.0733 [2 per cell]
Tb2 0.2246 0.0000 0.4443 [2 per cell]
Tb3 0.2853 0.5000 0.5758 [2 per cell]
Tb4 0.3347 0.0000 0.6711 [2 per cell]
Tb5 0.4010 0.0000 0.7988 [2 per cell]
Tb6 0.4316 0.5000 0.8625 [2 per cell]
Dy1 0.5000 0.5000 0.0000 [1 per cell]
Er1 0.1353 0.5000 0.2714 [2 per cell]

***

# 9
For U3SiP6, a DFT-relaxed cell (PBE, Alexandria) gives the simulated X-ray powder pattern in this record (Cu Kα, 1.54184 Å).

Top 10 peaks for 15 to 90 degrees two-theta, by angle:
- 2θ 17.75, I = 51, hkl 1 1 1
- 2θ 25.94, I = 100, hkl 2 2 1
- 2θ 26.09, I = 54, hkl 1 3 1
- 2θ 26.52, I = 31, hkl 3 1 0
- 2θ 28.29, I = 17, hkl 0 0 2
- 2θ 39.16, I = 47, hkl 3 1 2
- 2θ 39.47, I = 32, hkl 0 4 2
- 2θ 42.96, I = 33, hkl 3 5 0
- 2θ 48.71, I = 22, hkl 2 2 3
- 2θ 50.52, I = 27, hkl 5 3 1

Atomic structure:
a = 10.4266 Å, b = 13.2317 Å, c = 6.3087 Å
α = 90.00°, β = 90.00°, γ = 90.00°
Space group Cmc2_1 (No. 36)
One atom of each set of equivalent atoms:
U1 0.0000 0.1114 0.0000 [4 per cell]
U2 0.1808 0.4002 0.9459 [8 per cell]
Si1 0.0000 0.3047 0.3667 [4 per cell]
P1 0.0000 0.2864 0.7282 [4 per cell]
P2 0.0000 0.4689 0.2438 [4 per cell]
P3 0.1568 0.0170 0.7224 [8 per cell]
P4 0.1745 0.2356 0.2108 [8 per cell]

***

# 10
For Li5I2Br2, a DFT-relaxed cell (PBE, Alexandria) gives the simulated X-ray powder pattern in this record (Cu Kα, 1.54184 Å).

Top 10 peaks for 15 to 90 degrees two-theta, by angle:
- 2θ 24.40, I = 50, hkl 3 1 1
- 2θ 24.97, I = 37, hkl 4 0 0
- 2θ 25.17, I = 100, hkl 2 2 0
- 2θ 25.69, I = 94, hkl 2 0 2
- 2θ 31.46, I = 53, hkl 0 2 2
- 2θ 35.20, I = 30, hkl 5 1 1
- 2θ 40.55, I = 37, hkl 4 2 2
- 2θ 47.39, I = 20, hkl 7 1 1
- 2θ 47.59, I = 37, hkl 5 3 1
- 2θ 48.21, I = 20, hkl 5 1 3

Atomic structure:
a = 14.2631 Å, b = 8.1508 Å, c = 7.9409 Å
α = 90.00°, β = 90.00°, γ = 90.00°
Space group Cmce (No. 64)
One atom of each set of equivalent atoms:
Li1 0.0000 0.0000 0.0000 [4 per cell]
Li2 0.1478 0.1984 0.3306 [16 per cell]
I1 0.2131 0.0000 0.0000 [8 per cell]
Br1 0.0000 0.2082 0.6755 [8 per cell]

***

# 11
For Th8SiGe5, a DFT-relaxed cell (PBE, Alexandria) gives the simulated X-ray powder pattern in this record (Cu Kα, 1.54184 Å).

Top 10 peaks for 15 to 90 degrees two-theta, by angle:
- 2θ 23.97, I = 32, hkl 1 2 1
- 2θ 27.75, I = 24, hkl 2 2 0
- 2θ 31.10, I = 100, hkl 1 3 0
- 2θ 36.99, I = 66, hkl 1 2 3
- 2θ 49.08, I = 25, hkl 4 2 2
- 2θ 51.23, I = 45, hkl 1 4 3
- 2θ 63.02, I = 22, hkl 1 6 1
- 2θ 64.85, I = 14, hkl 2 0 6
- 2θ 66.66, I = 17, hkl 4 5 1
- 2θ 77.07, I = 14, hkl 5 2 5

Atomic structure:
a = 9.0912 Å, b = 9.0912 Å, c = 9.0971 Å
α = 90.00°, β = 90.00°, γ = 90.00°
Space group I-4 (No. 82)
One atom of each set of equivalent atoms:
Th1 0.0668 0.3187 0.0559 [8 per cell]
Th2 0.0680 0.1858 0.6933 [8 per cell]
Si1 0.0000 0.5000 0.7500 [2 per cell]
Ge1 0.0000 0.0000 0.0000 [2 per cell]
Ge2 0.1238 0.2492 0.3743 [8 per cell]

***

# 12
For Rb2Sr2RuO6, a DFT-relaxed cell (PBE, Alexandria) gives the simulated X-ray powder pattern in this record (Cu Kα, 1.54184 Å).

Top 10 peaks for 15 to 90 degrees two-theta, by angle:
- 2θ 17.21, I = 36, hkl 1 1 0
- 2θ 27.12, I = 54, hkl 0 0 2
- 2θ 30.10, I = 37, hkl 2 0 0
- 2θ 31.22, I = 65, hkl 1 3 -1
- 2θ 34.63, I = 100, hkl 1 3 1
- 2θ 34.92, I = 51, hkl 2 0 -2
- 2θ 46.34, I = 17, hkl 2 0 2
- 2θ 48.12, I = 31, hkl 1 3 -3
- 2θ 51.84, I = 28, hkl 3 3 -1
- 2θ 55.22, I = 20, hkl 1 3 3

Atomic structure:
a = 6.1591 Å, b = 10.3545 Å, c = 6.8205 Å
α = 90.00°, β = 105.42°, γ = 90.00°
Space group C2/m (No. 12)
One atom of each set of equivalent atoms:
Rb1 0.0000 0.1640 0.0000 [4 per cell]
Sr1 0.0000 0.3371 0.5000 [4 per cell]
Ru1 0.0000 0.0000 0.5000 [2 per cell]
O1 0.1846 0.1372 0.6671 [8 per cell]
O2 0.2117 0.0000 0.3256 [4 per cell]